1.
Starting from DFT lattice parameters and positions (PBE), the X-ray powder pattern of CaPaBiO2 was calculated for a wavelength of 1.5418 Å.

Main lines, low angle first (10° ≤ 2θ ≤ 80°):
2theta	Rel. int.
13.78	252
23.49	223
30.73	1000
31.93	394
34.92	146
41.89	111
45.78	194
53.87	227
56.15	374
64.00	111

Cell and atoms:
Cell: 7.011 7.011 7.011 Å, 147.16 147.16 47.13°
Fractional coordinates of all 5 atoms:
Ca 0.000 0.000 0.000
Pa 0.319 0.319 0.000
Bi 0.663 0.663 0.000
O 0.397 0.897 0.500
O 0.897 0.397 0.500


2.
Starting from DFT lattice parameters and positions (PBE), the X-ray powder pattern of CaPrBi2O6 was calculated for a wavelength of 1.5418 Å.

Main lines, low angle first (10° ≤ 2θ ≤ 80°):
2theta	Rel. int.
20.77	232
28.78	227
29.39	1000
30.28	218
41.84	118
42.27	199
51.38	171
52.51	117
53.25	232
60.99	118

Cell and atoms:
Cell: 8.637 6.203 5.903 Å, 90.00 90.00 90.00°
Fractional coordinates of all 20 atoms:
Ca 0.000 0.204 0.000
Ca 0.500 0.796 0.500
Pr 0.000 0.685 0.533
Pr 0.500 0.315 0.033
Bi 0.250 0.245 0.511
Bi 0.250 0.755 0.011
Bi 0.750 0.245 0.511
Bi 0.750 0.755 0.011
O 0.000 0.319 0.373
O 0.000 0.821 0.152
O 0.173 0.448 0.815
O 0.180 0.933 0.687
O 0.320 0.067 0.187
O 0.327 0.552 0.315
O 0.500 0.179 0.652
O 0.500 0.681 0.873
O 0.673 0.552 0.315
O 0.680 0.067 0.187
O 0.820 0.933 0.687
O 0.827 0.448 0.815


3.
Starting from DFT lattice parameters and positions (PBE), the X-ray powder pattern of CaPrBiO was calculated for a wavelength of 1.5418 Å.

Main lines, low angle first (10° ≤ 2θ ≤ 80°):
2theta	Rel. int.
21.07	654
28.26	651
29.71	398
33.17	1000
37.73	566
43.62	222
48.74	404
54.43	197
57.97	284
65.24	292

Cell and atoms:
Cell: 4.768 4.768 9.022 Å, 90.00 90.00 90.00°
Fractional coordinates of all 8 atoms:
Ca 0.250 0.250 0.166
Ca 0.750 0.750 0.834
Pr 0.250 0.750 0.500
Pr 0.750 0.250 0.500
Bi 0.250 0.250 0.799
Bi 0.750 0.750 0.201
O 0.250 0.250 0.422
O 0.750 0.750 0.578


4.
Starting from DFT lattice parameters and positions (PBE), the X-ray powder pattern of Ca2BiSbO6 was calculated for a wavelength of 1.5418 Å.

Main lines, low angle first (10° ≤ 2θ ≤ 80°):
2theta	Rel. int.
20.89	358
21.52	579
30.17	1000
30.62	638
42.52	190
43.86	280
49.36	183
53.31	261
54.16	493
62.74	184

Cell and atoms:
Cell: 5.839 5.839 8.504 Å, 90.00 90.00 90.00°
Fractional coordinates of all 20 atoms:
Ca 0.000 0.500 0.250
Ca 0.000 0.500 0.750
Ca 0.500 0.000 0.250
Ca 0.500 0.000 0.750
Bi 0.000 0.000 0.000
Bi 0.500 0.500 0.500
Sb 0.000 0.000 0.500
Sb 0.500 0.500 0.000
O 0.000 0.000 0.265
O 0.000 0.000 0.735
O 0.142 0.314 0.500
O 0.186 0.358 0.000
O 0.314 0.858 0.500
O 0.358 0.814 0.000
O 0.500 0.500 0.235
O 0.500 0.500 0.765
O 0.642 0.186 0.000
O 0.686 0.142 0.500
O 0.814 0.642 0.000
O 0.858 0.686 0.500


5.
Starting from DFT lattice parameters and positions (PBE), the X-ray powder pattern of CaBi2SbO8 was calculated for a wavelength of 1.5418 Å.

Main lines, low angle first (10° ≤ 2θ ≤ 80°):
2theta	Rel. int.
17.75	399
24.81	571
25.58	537
31.44	1000
35.94	288
36.06	164
48.05	406
48.92	389
61.80	231
65.63	116

Cell and atoms:
Cell: 4.999 6.921 5.002 Å, 90.00 91.70 90.00°
Fractional coordinates of all 12 atoms:
Ca 0.000 0.000 0.000
Bi 0.500 0.252 0.500
Bi 0.500 0.748 0.500
Sb 0.000 0.500 0.000
O 0.188 0.280 0.187
O 0.188 0.720 0.187
O 0.290 0.500 0.708
O 0.316 0.000 0.681
O 0.684 0.000 0.319
O 0.710 0.500 0.292
O 0.812 0.280 0.813
O 0.812 0.720 0.813


6.
Starting from DFT lattice parameters and positions (PBE), the X-ray powder pattern of SrCaBiSbO6 was calculated for a wavelength of 1.5418 Å.

Main lines, low angle first (10° ≤ 2θ ≤ 80°):
2theta	Rel. int.
18.03	84
20.85	349
29.65	1000
34.92	73
42.42	316
47.72	157
52.61	408
61.55	196
65.74	74
69.79	184

Cell and atoms:
Cell: 6.026 6.026 6.026 Å, 60.00 60.00 60.00°
Fractional coordinates of all 10 atoms:
Sr 0.000 0.000 0.000
Ca 0.500 0.500 0.500
Bi 0.250 0.250 0.250
Sb 0.750 0.750 0.750
O 0.516 0.516 0.984
O 0.516 0.984 0.516
O 0.516 0.984 0.984
O 0.984 0.516 0.516
O 0.984 0.516 0.984
O 0.984 0.984 0.516